[1]
Na10B17C3: computed XRD peak list (λ = 1.5418 Å (Cu Kα)), based on DFT lattice parameters and positions (GGA-PBE).
Neutral-atom scattering factors, no anomalous dispersion.

Cell and atoms:
```
data_Na10B17C3
_cell_length_a 18.025
_cell_length_b 2.932
_cell_length_c 13.502
_cell_angle_alpha 90.00
_cell_angle_beta 112.93
_cell_angle_gamma 90.00
_space_group_name_H-M_alt 'C 1 m 1'
_space_group_IT_number 8
loop_
_space_group_symop_operation_xyz
'x,y,z'
'x,-y,z'
'x+1/2,y+1/2,z'
'x+1/2,-y+1/2,z'
loop_
_atom_site_label
_atom_site_fract_x
_atom_site_fract_y
_atom_site_fract_z
Na1 0.000 0.000 0.000
Na2 0.000 0.000 0.499
Na3 0.100 0.500 0.201
Na4 0.100 0.500 0.697
Na5 0.199 0.000 0.900
Na6 0.200 0.000 0.402
Na7 0.299 0.500 0.600
Na8 0.300 0.500 0.102
Na9 0.398 0.000 0.799
Na10 0.401 0.000 0.302
B1 0.022 0.000 0.794
B2 0.034 0.000 0.318
B3 0.064 0.500 0.879
B4 0.066 0.500 0.382
B5 0.131 0.500 0.012
B6 0.134 0.500 0.518
B7 0.166 0.000 0.582
B8 0.172 0.000 0.095
B9 0.234 0.000 0.718
B10 0.241 0.000 0.234
B11 0.266 0.500 0.782
B12 0.334 0.500 0.918
B13 0.336 0.500 0.422
B14 0.366 0.000 0.983
B15 0.429 0.000 0.609
B16 0.433 0.000 0.118
B17 0.465 0.500 0.182
C1 0.272 0.500 0.295
C2 0.367 0.000 0.484
C3 0.461 0.500 0.673
```

Peak list (12 most intense, 2θ from 10° to 90°, low angle first)
two_theta, d [Å], I (rel.)
34.5, 2.598, 11
35.1, 2.553, 19
40.5, 2.225, 51
41.1, 2.197, 100
41.9, 2.157, 36
55.8, 1.648, 11
62.3, 1.491, 17
63.5, 1.466, 9
75.9, 1.253, 12
77.9, 1.227, 17
78.1, 1.224, 11
79.0, 1.212, 8

=====

[2]
Na5B8C2: computed XRD peak list (λ = 1.5418 Å (Cu Kα)), based on DFT lattice parameters and positions (GGA-PBE).
Neutral-atom scattering factors, no anomalous dispersion.

Cell and atoms:
```
data_Na5B8C2
_cell_length_a 8.580
_cell_length_b 2.939
_cell_length_c 25.545
_cell_angle_alpha 90.00
_cell_angle_beta 90.00
_cell_angle_gamma 90.00
_space_group_name_H-M_alt 'A m m 2'
_space_group_IT_number 38
loop_
_space_group_symop_operation_xyz
'x,y,z'
'-x,-y,z'
'-x,y,z'
'x,-y,z'
'x,y+1/2,z+1/2'
'-x,-y+1/2,z+1/2'
'-x,y+1/2,z+1/2'
'x,-y+1/2,z+1/2'
loop_
_atom_site_label
_atom_site_fract_x
_atom_site_fract_y
_atom_site_fract_z
Na1 0.245 0.000 0.000
Na2 0.248 0.000 0.601
Na3 0.249 0.000 0.201
Na4 0.249 0.000 0.400
Na5 0.249 0.000 0.800
B1 0.000 0.000 0.074
B2 0.000 0.000 0.267
B3 0.000 0.000 0.461
B4 0.000 0.000 0.534
B5 0.000 0.000 0.670
B6 0.000 0.000 0.864
B7 0.500 0.000 0.066
B8 0.500 0.000 0.134
B9 0.500 0.000 0.266
B10 0.500 0.000 0.335
B11 0.500 0.000 0.466
B12 0.500 0.000 0.534
B13 0.500 0.000 0.666
B14 0.500 0.000 0.735
B15 0.500 0.000 0.866
B16 0.500 0.000 0.935
C1 0.000 0.000 0.138
C2 0.000 0.000 0.332
C3 0.000 0.000 0.735
C4 0.000 0.000 0.929
```

Peak list (12 most intense, 2θ from 10° to 90°, low angle first)
two_theta, d [Å], I (rel.)
35.1, 2.555, 6
35.2, 2.547, 13
41.2, 2.192, 100
42.1, 2.145, 24
56.0, 1.641, 10
63.1, 1.473, 12
63.3, 1.469, 6
76.4, 1.247, 12
78.1, 1.224, 4
78.3, 1.221, 8
78.8, 1.214, 11
79.0, 1.212, 6

=====

[3]
Na10B13C7: computed XRD peak list (λ = 1.5418 Å (Cu Kα)), based on DFT lattice parameters and positions (GGA-PBE).
Neutral-atom scattering factors, no anomalous dispersion.

Cell and atoms:
```
data_Na10B13C7
_cell_length_a 22.821
_cell_length_b 2.829
_cell_length_c 9.939
_cell_angle_alpha 90.00
_cell_angle_beta 107.60
_cell_angle_gamma 90.00
_space_group_name_H-M_alt 'C 1 m 1'
_space_group_IT_number 8
loop_
_space_group_symop_operation_xyz
'x,y,z'
'x,-y,z'
'x+1/2,y+1/2,z'
'x+1/2,-y+1/2,z'
loop_
_atom_site_label
_atom_site_fract_x
_atom_site_fract_y
_atom_site_fract_z
Na1 0.000 0.000 0.000
Na2 0.000 0.500 0.494
Na3 0.100 0.500 0.197
Na4 0.101 0.000 0.693
Na5 0.199 0.000 0.393
Na6 0.200 0.500 0.893
Na7 0.299 0.500 0.593
Na8 0.301 0.000 0.092
Na9 0.399 0.000 0.798
Na10 0.399 0.500 0.293
B1 0.027 0.500 0.799
B2 0.084 0.000 0.411
B3 0.119 0.000 0.985
B4 0.181 0.500 0.605
B5 0.213 0.500 0.172
B6 0.277 0.000 0.800
B7 0.308 0.000 0.360
B8 0.317 0.500 0.881
B9 0.376 0.000 0.496
B10 0.389 0.500 0.025
B11 0.418 0.500 0.582
B12 0.484 0.500 0.714
B13 0.487 0.000 0.218
C1 0.019 0.000 0.281
C2 0.088 0.500 0.921
C3 0.116 0.500 0.475
C4 0.182 0.000 0.111
C5 0.213 0.000 0.671
C6 0.277 0.500 0.299
C7 0.421 0.000 0.088
```

Peak list (12 most intense, 2θ from 10° to 90°, low angle first)
two_theta, d [Å], I (rel.)
35.4, 2.533, 12
36.4, 2.470, 20
41.4, 2.181, 28
41.5, 2.175, 28
42.2, 2.139, 57
42.3, 2.135, 100
57.0, 1.615, 11
64.2, 1.450, 19
66.0, 1.415, 9
80.1, 1.198, 9
81.0, 1.186, 12
81.7, 1.179, 9

=====

[4]
Na5B9C: computed XRD peak list (λ = 1.5418 Å (Cu Kα)), based on DFT lattice parameters and positions (GGA-PBE).
Neutral-atom scattering factors, no anomalous dispersion.

Cell and atoms:
```
data_Na5B9C
_cell_length_a 2.800
_cell_length_b 27.198
_cell_length_c 8.741
_cell_angle_alpha 90.00
_cell_angle_beta 90.00
_cell_angle_gamma 90.00
_space_group_name_H-M_alt 'C m c m'
_space_group_IT_number 63
_space_group_name_Hall '-C 2c 2'
loop_
_atom_site_label
_atom_site_fract_x
_atom_site_fract_y
_atom_site_fract_z
Na1 0.000 0.000 0.000
Na2 0.000 0.199 0.000
Na3 0.000 0.401 0.000
B1 0.000 0.062 0.250
B2 0.000 0.066 0.750
B3 0.000 0.126 0.250
B4 0.000 0.127 0.750
B5 0.000 0.270 0.250
B6 0.000 0.271 0.750
B7 0.000 0.332 0.250
B8 0.000 0.333 0.750
B9 0.000 0.475 0.250
C1 0.000 0.468 0.750
```

Peak list (12 most intense, 2θ from 10° to 90°, low angle first)
two_theta, d [Å], I (rel.)
32.9, 2.720, 16
36.1, 2.489, 16
39.0, 2.309, 50
41.3, 2.185, 37
41.8, 2.163, 100
53.8, 1.704, 8
56.0, 1.642, 9
60.9, 1.522, 19
72.8, 1.298, 8
75.6, 1.257, 13
76.2, 1.249, 18
80.2, 1.197, 9

=====

[5]
Na5B9C: computed XRD peak list (λ = 1.5418 Å (Cu Kα)), based on DFT lattice parameters and positions (GGA-PBE).
Neutral-atom scattering factors, no anomalous dispersion.

Cell and atoms:
```
data_Na5B9C
_cell_length_a 2.9862
_cell_length_b 2.9862
_cell_length_c 43.0842
_cell_angle_alpha 90.00
_cell_angle_beta 90.00
_cell_angle_gamma 120.00
_space_group_name_H-M_alt 'P 63/m m c'
_space_group_IT_number 194
_space_group_name_Hall '-P 6c 2c'
loop_
_atom_site_label
_atom_site_fract_x
_atom_site_fract_y
_atom_site_fract_z
Na1 0.0000 0.0000 0.0000
Na2 0.0000 0.0000 0.1006
Na3 0.0000 0.0000 0.2010
B1 0.3333 0.6667 0.0502
B2 0.3333 0.6667 0.1508
B3 0.3333 0.6667 0.2500
B4 0.3333 0.6667 0.5502
B5 0.3333 0.6667 0.6508
C1 0.3333 0.6667 0.7500
```

Peak list (12 most intense, 2θ from 10° to 90°, low angle first)
two_theta, d [Å], I (rel.)
20.6, 4.308, 2
34.7, 2.586, 20
40.7, 2.217, 100
41.9, 2.154, 23
55.5, 1.655, 11
62.2, 1.493, 18
66.2, 1.411, 2
73.2, 1.293, 2
75.8, 1.256, 12
77.0, 1.239, 12
77.8, 1.227, 17
88.1, 1.109, 2

=====

[6]
Na5B9C: computed XRD peak list (λ = 1.5418 Å (Cu Kα)), based on DFT lattice parameters and positions (GGA-PBE).
Neutral-atom scattering factors, no anomalous dispersion.

Cell and atoms:
```
data_Na5B9C
_cell_length_a 18.310
_cell_length_b 2.804
_cell_length_c 13.962
_cell_angle_alpha 90.00
_cell_angle_beta 111.61
_cell_angle_gamma 90.00
_space_group_name_H-M_alt 'C 1 2/m 1'
_space_group_IT_number 12
loop_
_space_group_symop_operation_xyz
'x,y,z'
'-x,-y,-z'
'-x,y,-z'
'x,-y,z'
'x+1/2,y+1/2,z'
'-x+1/2,-y+1/2,-z'
'-x+1/2,y+1/2,-z'
'x+1/2,-y+1/2,z'
loop_
_atom_site_label
_atom_site_fract_x
_atom_site_fract_y
_atom_site_fract_z
Na1 0.000 0.000 0.000
Na2 0.000 0.000 0.500
Na3 0.100 0.500 0.201
Na4 0.101 0.500 0.701
Na5 0.200 0.000 0.401
Na6 0.200 0.000 0.900
B1 0.030 0.000 0.311
B2 0.032 0.000 0.813
B3 0.072 0.500 0.392
B4 0.073 0.500 0.895
B5 0.133 0.500 0.517
B6 0.135 0.500 0.018
B7 0.173 0.000 0.597
B8 0.175 0.000 0.100
B9 0.238 0.000 0.725
C1 0.232 0.000 0.214
```

Peak list (12 most intense, 2θ from 10° to 90°, low angle first)
two_theta, d [Å], I (rel.)
33.0, 2.717, 31
36.0, 2.492, 32
39.0, 2.308, 99
41.3, 2.187, 75
41.7, 2.166, 100
41.7, 2.165, 100
55.9, 1.644, 19
60.9, 1.522, 37
75.6, 1.258, 27
76.2, 1.250, 18
76.3, 1.248, 17
80.1, 1.198, 18